Theoretical powder diffractogram of YMnW2O8 for a wavelength of 1.5418 Å, from the GGA+U geometry in the Materials Project.
Kinematic intensities with the Lorentz-polarization factor, no thermal factor.

abc: 5.2259 5.8736 10.1187
angles: 90.49 93.83 91.12
Space group P-1 (No. 2)
Inequivalent atoms, fractional coordinates:
Y 0.2421 0.3173 0.2398 [2 per cell]
Mn 0.2531 0.3032 0.7629 [2 per cell]
W 0.2430 0.8320 0.0049 [2 per cell]
W 0.2490 0.8301 0.4957 [2 per cell]
O 0.0446 0.0789 0.8841 [2 per cell]
O 0.0543 0.1087 0.4027 [2 per cell]
O 0.0952 0.6338 0.3712 [2 per cell]
O 0.1258 0.6091 0.8771 [2 per cell]
O 0.3905 0.6282 0.1408 [2 per cell]
O 0.3896 0.6310 0.6168 [2 per cell]
O 0.4336 0.1103 0.0970 [2 per cell]
O 0.4537 0.0986 0.6056 [2 per cell]

Peak list (12 most intense, 15 to 90 degrees two-theta, low angle first)
index	two_theta	Rel. int.
0 0 2	17.57	79.9
0 1 -2	23.09	82.8
0 1 2	23.35	48.1
-1 1 2	28.12	97.8
1 1 -2	28.31	100.0
1 -1 2	29.37	86.7
1 1 2	29.92	85.1
2 0 0	34.41	57.7
0 0 4	35.57	40.3
2 0 -4	48.50	36.1
-1 2 4	49.92	38.4
2 0 4	52.13	44.8